Theoretical XRD peak list of Cs2CaV2O7 for CuKα, from a crystal structure in Alexandria, relaxed with PBE+U.
Kinematic intensities with the Lorentz-polarization factor, no thermal factor.

Crystal structure
abc: 10.7474 6.2176 15.7109
angles: 90.00 116.90 90.00
Space group P2_1/c (No. 14)
One atom of each set of equivalent atoms:
1 Cs 0.0052 0.2304 0.1383 [4 per cell]
2 Cs 0.4694 0.2337 0.3316 [4 per cell]
3 Ca 0.2656 0.2445 0.5176 [4 per cell]
4 V 0.1641 0.7384 0.1347 [4 per cell]
5 V 0.3297 0.7354 0.3789 [4 per cell]
6 O 0.0142 0.2193 0.4306 [4 per cell]
7 O 0.1958 0.7008 0.7572 [4 per cell]
8 O 0.2280 0.5494 0.5962 [4 per cell]
9 O 0.2442 0.5009 0.1310 [4 per cell]
10 O 0.2890 0.0111 0.9096 [4 per cell]
11 O 0.3163 0.5635 0.9488 [4 per cell]
12 O 0.4911 0.7296 0.3807 [4 per cell]

Top 10 peaks for 15 to 90 degrees two-theta, low angle first:
| d [Å] | I/Imax | hkl |
| --- | --- | --- |
| 4.788 | 35.4 | 2 0 0 |
| 3.759 | 64.9 | 2 0 -4 |
| 3.503 | 39.0 | 0 0 4 |
| 3.312 | 93.2 | 2 0 2 |
| 3.109 | 51.5 | 0 2 0 |
| 3.104 | 100.0 | 3 1 -2 |
| 2.608 | 21.9 | 2 2 0 |
| 2.394 | 43.2 | 2 2 -4 |
| 2.326 | 28.1 | 3 1 2 |
| 1.793 | 26.1 | 3 3 -2 |